YHPt3: simulated XRD peak list (λ = 1.5418 Å (Cu Kα)), based on DFT lattice parameters and positions (GGA-PBE).
Kinematic intensities with the Lorentz-polarization factor, no thermal factor.

Largest 12 diffraction maxima, low angle first, 10° ≤ 2θ ≤ 90°:
2θ/deg, intensity, hkl
21.14, 10.5, 1 0 1
30.15, 4.6, 0 1 2
36.98, 100.0, 0 2 1
37.26, 33.4, 0 0 3
43.05, 65.7, 2 0 2
62.32, 21.5, 2 2 0
62.70, 21.7, 0 2 4
74.74, 12.4, 4 0 1
74.91, 25.2, 2 2 3
75.25, 12.8, 2 0 5
78.74, 10.8, 0 4 2
79.41, 3.8, 0 0 6

Structure:
Cell lengths 5.9592, 5.9592, 7.2404 Å; angles 90.00, 90.00, 120.00 degrees
Space group R3m (No. 160, hexagonal axes)
Symmetry-distinct sites (fractional):
1 Y 0.0000 0.0000 0.0000
2 H 0.0000 0.0000 0.6646
3 Pt 0.0156 0.5078 0.0021